No. 1
U3PSe2: simulated powder diffractogram (Cu Kα), based on the PBE geometry in Alexandria.
Peak positions follow from Bragg's law for the DFT cell and can differ from measured ones.

Peak list (8 most intense, 15° ≤ 2θ ≤ 90°, low angle first)
(hkl), two_theta, d/Å, I_rel
1 1 0, 26.93, 3.311, 31
0 1 3, 27.44, 3.250, 29
0 2 0, 31.49, 2.841, 100
2 0 0, 44.50, 2.036, 13
1 2 3, 45.12, 2.009, 50
2 2 0, 55.50, 1.656, 14
0 2 6, 56.64, 1.625, 12
1 4 3, 74.64, 1.272, 12

Crystal structure
```
data_U3PSe2
_symmetry_space_group_name_H-M 'I m m m'
_symmetry_Int_Tables_number 71
_symmetry_space_group_name_Hall '-I 2 2'
_cell_length_a 4.072
_cell_length_b 5.690
_cell_length_c 11.878
_cell_angle_alpha 90.00
_cell_angle_beta 90.00
_cell_angle_gamma 90.00
loop_
_atom_site_label
_atom_site_type_symbol
_atom_site_fract_x
_atom_site_fract_y
_atom_site_fract_z
U1 U 0.000 0.000 0.000
U2 U 0.000 0.000 0.344
P1 P 0.000 0.500 0.000
Se1 Se 0.000 0.500 0.329
```


No. 2
Ac2CdCuIr: simulated powder diffractogram (Cu Kα), based on the PBE geometry in Alexandria.
Peak positions follow from Bragg's law for the DFT cell and can differ from measured ones.

Peak list (8 most intense, 15° ≤ 2θ ≤ 90°, low angle first)
(hkl), two_theta, d/Å, I_rel
2 0 0, 24.49, 3.635, 60
0 1 2, 28.34, 3.149, 75
1 1 -2, 28.64, 3.117, 100
1 1 -3, 35.57, 2.524, 24
1 0 -4, 38.77, 2.323, 25
0 2 0, 40.68, 2.218, 40
2 1 2, 41.40, 2.181, 30
3 1 -2, 42.46, 2.129, 41

Crystal structure
```
data_Ac2CdCuIr
_symmetry_space_group_name_H-M 'P 1 21/m 1'
_symmetry_Int_Tables_number 11
_symmetry_space_group_name_Hall '-P 2yb'
_cell_length_a 7.559
_cell_length_b 4.436
_cell_length_c 9.297
_cell_angle_alpha 90.00
_cell_angle_beta 105.90
_cell_angle_gamma 90.00
loop_
_atom_site_label
_atom_site_type_symbol
_atom_site_fract_x
_atom_site_fract_y
_atom_site_fract_z
Ac1 Ac 0.199 0.250 0.390
Ac2 Ac 0.232 0.250 0.976
Cd1 Cd 0.299 0.750 0.695
Cu1 Cu 0.495 0.250 0.734
Ir1 Ir 0.169 0.750 0.178
```


No. 3
NpHgSe2O8: simulated powder diffractogram (Cu Kα), based on the PBE geometry in Alexandria.
Peak positions follow from Bragg's law for the DFT cell and can differ from measured ones.

Peak list (8 most intense, 15° ≤ 2θ ≤ 90°, low angle first)
(hkl), two_theta, d/Å, I_rel
2 0 0, 16.40, 5.406, 36
1 1 -1, 22.03, 4.036, 36
1 1 1, 27.16, 3.284, 98
3 1 -1, 28.00, 3.186, 100
0 2 0, 28.42, 3.141, 49
2 0 -2, 34.05, 2.633, 29
4 2 0, 44.21, 2.049, 29
2 2 -2, 44.92, 2.018, 26

Crystal structure
```
data_NpHgSe2O8
_symmetry_space_group_name_H-M 'C 1 2/m 1'
_symmetry_Int_Tables_number 12
_symmetry_space_group_name_Hall '-C 2y'
_cell_length_a 11.841
_cell_length_b 6.282
_cell_length_c 5.270
_cell_angle_alpha 90.00
_cell_angle_beta 114.06
_cell_angle_gamma 90.00
loop_
_atom_site_label
_atom_site_type_symbol
_atom_site_fract_x
_atom_site_fract_y
_atom_site_fract_z
Np1 Np 0.000 0.000 0.000
Hg1 Hg 0.000 0.500 0.500
Se1 Se 0.226 0.500 0.208
O1 O 0.110 0.228 0.232
O2 O 0.123 0.000 0.744
O3 O 0.171 0.500 0.850
```


No. 4
Nb2Se3S6: simulated powder diffractogram (Cu Kα), based on the PBE geometry in Alexandria.
Peak positions follow from Bragg's law for the DFT cell and can differ from measured ones.

Peak list (8 most intense, 15° ≤ 2θ ≤ 90°, low angle first)
(hkl), two_theta, d/Å, I_rel
2 0 0, 16.37, 5.414, 72
1 1 -1, 17.15, 5.171, 48
0 0 4, 22.57, 3.940, 56
0 2 1, 29.51, 3.027, 67
3 1 -2, 29.69, 3.009, 100
0 2 2, 31.14, 2.872, 45
3 1 -3, 31.82, 2.812, 41
3 3 -1, 51.10, 1.787, 39

Crystal structure
```
data_Nb2Se3S6
_symmetry_space_group_name_H-M 'C 1 2/c 1'
_symmetry_Int_Tables_number 15
_symmetry_space_group_name_Hall '-C 2yc'
_cell_length_a 10.909
_cell_length_b 6.169
_cell_length_c 15.877
_cell_angle_alpha 90.00
_cell_angle_beta 97.00
_cell_angle_gamma 90.00
loop_
_atom_site_label
_atom_site_type_symbol
_atom_site_fract_x
_atom_site_fract_y
_atom_site_fract_z
Nb1 Nb 0.101 0.204 0.002
Se1 Se 0.000 0.077 0.250
Se2 Se 0.105 0.427 0.721
S1 S 0.051 0.085 0.405
S2 S 0.082 0.429 0.581
S3 S 0.224 0.409 0.909
```


No. 5
KBaNb2O7: simulated powder diffractogram (Cu Kα), based on the PBE geometry in Alexandria.
Peak positions follow from Bragg's law for the DFT cell and can differ from measured ones.

Peak list (8 most intense, 15° ≤ 2θ ≤ 90°, low angle first)
(hkl), two_theta, d/Å, I_rel
1 0 3, 24.93, 3.571, 93
1 0 5, 29.18, 3.060, 100
1 1 0, 31.62, 2.830, 36
1 1 2, 32.53, 2.753, 34
2 0 0, 45.32, 2.001, 41
1 1 10, 50.16, 1.819, 32
2 1 3, 52.41, 1.746, 23
2 1 5, 54.81, 1.675, 35

Crystal structure
```
data_KBaNb2O7
_symmetry_space_group_name_H-M 'I -4 m 2'
_symmetry_Int_Tables_number 119
_symmetry_space_group_name_Hall 'I -4 -2'
_cell_length_a 4.002
_cell_length_b 4.002
_cell_length_c 23.738
_cell_angle_alpha 90.00
_cell_angle_beta 90.00
_cell_angle_gamma 90.00
loop_
_atom_site_label
_atom_site_type_symbol
_atom_site_fract_x
_atom_site_fract_y
_atom_site_fract_z
K1 K 0.000 0.000 0.000
Ba1 Ba 0.000 0.500 0.750
Nb1 Nb 0.000 0.500 0.147
O1 O 0.000 0.000 0.163
O2 O 0.000 0.000 0.337
O3 O 0.000 0.500 0.071
O4 O 0.000 0.500 0.250
```


No. 6
UGaRh4: simulated powder diffractogram (Cu Kα), based on the PBE geometry in Alexandria.
Peak positions follow from Bragg's law for the DFT cell and can differ from measured ones.

Peak list (8 most intense, 15° ≤ 2θ ≤ 90°, low angle first)
(hkl), two_theta, d/Å, I_rel
1 1 0, 15.52, 5.709, 20
0 2 1, 25.59, 3.481, 67
2 2 -1, 26.41, 3.374, 63
0 0 2, 40.87, 2.208, 55
2 4 0, 42.03, 2.150, 100
4 0 -2, 43.04, 2.102, 51
2 4 -2, 45.27, 2.003, 83
4 0 0, 55.59, 1.653, 21

Crystal structure
```
data_UGaRh4
_symmetry_space_group_name_H-M 'C 1 2/c 1'
_symmetry_Int_Tables_number 15
_symmetry_space_group_name_Hall '-C 2yc'
_cell_length_a 8.506
_cell_length_b 11.316
_cell_length_c 5.680
_cell_angle_alpha 90.00
_cell_angle_beta 128.97
_cell_angle_gamma 90.00
loop_
_atom_site_label
_atom_site_type_symbol
_atom_site_fract_x
_atom_site_fract_y
_atom_site_fract_z
U1 U 0.000 0.111 0.250
Ga1 Ga 0.000 0.359 0.750
Rh1 Rh 0.224 0.498 0.708
Rh2 Rh 0.243 0.253 0.248
```


No. 7
Li6MgSn6: simulated powder diffractogram (Cu Kα), based on the PBE geometry in Alexandria.
Peak positions follow from Bragg's law for the DFT cell and can differ from measured ones.

Peak list (8 most intense, 15° ≤ 2θ ≤ 90°, low angle first)
(hkl), two_theta, d/Å, I_rel
0 0 2, 18.59, 4.774, 47
0 2 2, 25.72, 3.463, 24
1 1 2, 26.08, 3.417, 51
1 3 0, 31.08, 2.877, 100
2 0 0, 31.96, 2.800, 47
1 3 2, 36.46, 2.464, 44
1 1 4, 42.12, 2.145, 27
1 3 6, 67.23, 1.393, 23

Crystal structure
```
data_Li6MgSn6
_symmetry_space_group_name_H-M 'C m m m'
_symmetry_Int_Tables_number 65
_symmetry_space_group_name_Hall '-C 2 2'
_cell_length_a 5.600
_cell_length_b 10.063
_cell_length_c 9.548
_cell_angle_alpha 90.00
_cell_angle_beta 90.00
_cell_angle_gamma 90.00
loop_
_atom_site_label
_atom_site_type_symbol
_atom_site_fract_x
_atom_site_fract_y
_atom_site_fract_z
Li1 Li 0.000 0.000 0.244
Li2 Li 0.250 0.250 0.246
Mg1 Mg 0.000 0.500 0.000
Sn1 Sn 0.000 0.163 0.500
Sn2 Sn 0.000 0.166 0.000
Sn3 Sn 0.000 0.500 0.345
```


No. 8
NaSb7Pb12: simulated powder diffractogram (Cu Kα), based on the PBE geometry in Alexandria.
Peak positions follow from Bragg's law for the DFT cell and can differ from measured ones.

Peak list (8 most intense, 15° ≤ 2θ ≤ 90°, low angle first)
(hkl), two_theta, d/Å, I_rel
4 0 1, 28.03, 3.184, 18
1 4 0, 29.98, 2.981, 17
3 2 1, 30.27, 2.952, 100
0 0 3, 30.46, 2.935, 42
5 -3 2, 35.15, 2.553, 81
1 7 0, 50.44, 1.809, 17
3 2 4, 50.68, 1.801, 27
8 -1 3, 60.07, 1.540, 17

Crystal structure
```
data_NaSb7Pb12
_symmetry_space_group_name_H-M 'R -3'
_symmetry_Int_Tables_number 148
_symmetry_space_group_name_Hall '-R 3'
_cell_length_a 15.7726
_cell_length_b 15.7726
_cell_length_c 8.8052
_cell_angle_alpha 90.00
_cell_angle_beta 90.00
_cell_angle_gamma 120.00
loop_
_atom_site_label
_atom_site_type_symbol
_atom_site_fract_x
_atom_site_fract_y
_atom_site_fract_z
Na1 Na 0.0000 0.0000 0.0000
Sb1 Sb 0.0000 0.0000 0.5000
Sb2 Sb 0.0056 0.1725 0.6877
Pb1 Pb 0.0241 0.2549 0.3425
Pb2 Pb 0.0730 0.5543 0.6603
```